This entry pairs a crystal structure of HoPd3Pt with its theoretical PXRD pattern. Radiation: Cu Kα (weighted mean of Kα1 and Kα2). Structure: a DFT-relaxed cell (GGA-PBE, Alexandria).
Intensities are scaled so that the largest is 100.

Top 8 peaks for 10° ≤ 2θ ≤ 90°, most intense first:
- 40.7 deg, rel. 100
- 40.3 deg, rel. 58
- 42.1 deg, rel. 49
- 36.3 deg, rel. 37
- 30.9 deg, rel. 28
- 70.3 deg, rel. 26
- 36.9 deg, rel. 23
- 67.4 deg, rel. 22

Structure:
Cell: 5.1412 7.8799 4.9531 Å, 90.00 115.84 90.00°
Space group P2/c (No. 13)
Unique sites:
Ho 0.0000 0.2044 0.2500 [2 per cell]
Pd 0.3197 0.1284 0.9011 [4 per cell]
Pd 0.5000 0.4280 0.2500 [2 per cell]
Pt 0.0000 0.4199 0.7500 [2 per cell]